Starting from a cell relaxed with GGA-PBE, the X-ray diffraction stick pattern of Si5Pb3 was computed for Cu Ka.
Neutral-atom scattering factors, no anomalous dispersion.

Crystal structure
```
data_Si5Pb3
_chemical_formula_sum 'Si20 Pb12'
_space_group_name_H-M_alt 'C 1 m 1'
_space_group_IT_number 8
_cell_length_a 6.500
_cell_length_b 16.680
_cell_length_c 8.520
_cell_angle_alpha 90.00
_cell_angle_beta 110.87
_cell_angle_gamma 90.00
loop_
_space_group_symop_operation_xyz
'x,y,z'
'x,-y,z'
'x+1/2,y+1/2,z'
'x+1/2,-y+1/2,z'
loop_
_atom_site_label
_atom_site_fract_x
_atom_site_fract_y
_atom_site_fract_z
Si1 0.000 0.000 0.000
Si2 0.083 0.500 0.127
Si3 0.190 0.404 0.943
Si4 0.287 0.082 0.936
Si5 0.335 0.074 0.253
Si6 0.445 0.424 0.250
Pb1 0.065 0.000 0.604
Pb2 0.075 0.500 0.624
Pb3 0.225 0.333 0.442
Pb4 0.304 0.247 0.093
```

Peak list (10 most intense, 5° ≤ 2θ ≤ 70°, in order of rising 2θ)
- (0 2 1), d 5.759, I 100
- (0 4 0), d 4.170, I 21
- (1 3 -1), d 4.066, I 22
- (0 0 2), d 3.980, I 28
- (0 4 2), d 2.879, I 53
- (2 2 0), d 2.853, I 46
- (2 2 -2), d 2.806, I 47
- (0 6 1), d 2.625, I 55
- (2 4 -1), d 2.563, I 41
- (0 2 3), d 2.529, I 45